[1]
For CaNb2P2O10, a structure optimized by DFT (PBE) gives the calculated XRD peak list in this record (a wavelength of 1.5418 Å).
Neutral-atom scattering factors, no anomalous dispersion.

Main lines, most intense first (10° ≤ 2θ ≤ 90°):
19.95 deg, rel. 100; 27.34 deg, rel. 55; 35.32 deg, rel. 26; 44.22 deg, rel. 19; 53.67 deg, rel. 19; 34.07 deg, rel. 17; 52.78 deg, rel. 11; 55.12 deg, rel. 11; 39.05 deg, rel. 9; 14.55 deg, rel. 8

Cell and atoms:
```
CaNb2P2O10
1.0
6.524 0.000 0.000
0.000 6.524 0.000
0.000 0.000 6.089
Ca Nb P O
1 2 2 10
direct
0.000 0.000 0.000
0.000 0.500 0.733
0.500 0.000 0.267
0.000 0.000 0.500
0.500 0.500 0.500
0.000 0.181 0.663
0.000 0.500 0.024
0.000 0.819 0.663
0.181 0.000 0.337
0.306 0.500 0.646
0.500 0.000 0.976
0.500 0.306 0.354
0.500 0.694 0.354
0.694 0.500 0.646
0.819 0.000 0.337
```



[2]
For CaPaNb2O8, a structure optimized by DFT (PBE) gives the calculated XRD peak list in this record (a wavelength of 1.5418 Å).
Neutral-atom scattering factors, no anomalous dispersion.

Main lines, most intense first (10° ≤ 2θ ≤ 90°):
28.68 deg, rel. 100; 47.22 deg, rel. 32; 57.48 deg, rel. 28; 18.54 deg, rel. 25; 54.87 deg, rel. 19; 33.89 deg, rel. 18; 48.68 deg, rel. 17; 15.79 deg, rel. 16; 31.89 deg, rel. 13; 76.37 deg, rel. 13

Cell and atoms:
```
CaPaNb2O8
1.0
-2.645 2.645 5.612
2.645 -2.645 5.612
2.645 2.645 -5.612
Ca Pa Nb O
1 1 2 8
direct
0.000 0.000 0.000
0.250 0.750 0.500
0.500 0.500 0.000
0.750 0.250 0.500
0.024 0.078 0.433
0.231 0.652 0.068
0.348 0.416 0.579
0.409 0.976 0.055
0.584 0.163 0.932
0.645 0.591 0.567
0.837 0.769 0.421
0.922 0.355 0.945
```



[3]
For CaPm2NbO6, a structure optimized by DFT (PBE) gives the calculated XRD peak list in this record (a wavelength of 1.5418 Å).
Neutral-atom scattering factors, no anomalous dispersion.

Main lines, most intense first (10° ≤ 2θ ≤ 90°):
28.53 deg, rel. 100; 32.91 deg, rel. 33; 56.10 deg, rel. 30; 16.50 deg, rel. 27; 47.56 deg, rel. 27; 47.22 deg, rel. 20; 40.97 deg, rel. 19; 37.02 deg, rel. 10; 56.69 deg, rel. 10; 64.27 deg, rel. 9

Cell and atoms:
```
CaPm2NbO6
1.0
5.444 0.000 0.000
0.000 5.444 0.000
0.000 0.000 5.372
Ca Pm Nb O
1 2 1 6
direct
0.000 0.000 0.000
0.000 0.500 0.430
0.500 0.000 0.430
0.500 0.500 0.020
0.000 0.000 0.588
0.264 0.264 0.186
0.264 0.736 0.186
0.500 0.500 0.665
0.736 0.264 0.186
0.736 0.736 0.186
```



[4]
For Rb2CaNbO4, a structure optimized by DFT (PBE) gives the calculated XRD peak list in this record (a wavelength of 1.5418 Å).
Neutral-atom scattering factors, no anomalous dispersion.

Main lines, most intense first (10° ≤ 2θ ≤ 90°):
29.48 deg, rel. 100; 28.12 deg, rel. 41; 50.62 deg, rel. 40; 40.19 deg, rel. 22; 53.11 deg, rel. 21; 61.17 deg, rel. 11; 80.67 deg, rel. 10; 65.82 deg, rel. 10; 82.65 deg, rel. 9; 85.92 deg, rel. 9

Cell and atoms:
```
Rb2CaNbO4
1.0
6.346 0.000 0.000
0.000 6.346 0.000
0.000 0.000 8.217
Rb Ca Nb O
4 2 2 8
direct
0.000 0.000 0.000
0.000 0.500 0.250
0.500 0.000 0.750
0.500 0.500 0.500
0.000 0.500 0.750
0.500 0.000 0.250
0.000 0.000 0.500
0.500 0.500 0.000
0.142 0.759 0.597
0.241 0.142 0.403
0.259 0.358 0.903
0.358 0.741 0.097
0.642 0.259 0.097
0.741 0.642 0.903
0.759 0.858 0.403
0.858 0.241 0.597
```



[5]
For RbCa2Nb3O10, a structure optimized by DFT (PBE) gives the calculated XRD peak list in this record (a wavelength of 1.5418 Å).
Neutral-atom scattering factors, no anomalous dispersion.

Main lines, most intense first (10° ≤ 2θ ≤ 90°):
28.51 deg, rel. 100; 31.93 deg, rel. 53; 23.22 deg, rel. 39; 45.78 deg, rel. 39; 54.81 deg, rel. 30; 22.43 deg, rel. 26; 47.47 deg, rel. 20; 25.30 deg, rel. 19; 53.08 deg, rel. 15; 51.94 deg, rel. 14

Cell and atoms:
```
RbCa2Nb3O10
1.0
3.964 0.000 0.000
0.000 3.964 0.000
0.000 0.000 15.313
Rb Ca Nb O
1 2 3 10
direct
0.000 0.000 0.000
0.000 0.000 0.350
0.000 0.000 0.650
0.500 0.500 0.219
0.500 0.500 0.500
0.500 0.500 0.781
0.000 0.500 0.247
0.000 0.500 0.500
0.000 0.500 0.753
0.500 0.000 0.247
0.500 0.000 0.500
0.500 0.000 0.753
0.500 0.500 0.101
0.500 0.500 0.371
0.500 0.500 0.629
0.500 0.500 0.899
```



[6]
For Ca2Nb2SbO8, a structure optimized by DFT (PBE) gives the calculated XRD peak list in this record (a wavelength of 1.5418 Å).
Neutral-atom scattering factors, no anomalous dispersion.

Main lines, most intense first (10° ≤ 2θ ≤ 90°):
29.99 deg, rel. 100; 32.49 deg, rel. 99; 30.69 deg, rel. 83; 30.80 deg, rel. 78; 31.18 deg, rel. 62; 26.55 deg, rel. 60; 31.34 deg, rel. 56; 24.71 deg, rel. 52; 25.13 deg, rel. 49; 48.87 deg, rel. 47

Cell and atoms:
```
Ca2Nb2SbO8
1.0
5.514 0.000 0.000
0.200 6.953 0.000
0.058 3.349 9.654
Ca Nb Sb O
4 4 2 16
direct
0.244 0.030 0.102
0.252 0.645 0.933
0.748 0.355 0.067
0.756 0.970 0.898
0.229 0.488 0.264
0.247 0.253 0.754
0.753 0.747 0.246
0.771 0.512 0.736
0.255 0.818 0.493
0.745 0.182 0.507
0.023 0.744 0.111
0.078 0.139 0.641
0.106 0.562 0.631
0.148 0.337 0.142
0.345 0.981 0.886
0.383 0.733 0.330
0.415 0.298 0.403
0.473 0.406 0.866
0.527 0.594 0.134
0.585 0.702 0.597
0.617 0.267 0.670
0.655 0.019 0.114
0.852 0.663 0.858
0.894 0.438 0.369
0.922 0.861 0.359
0.977 0.256 0.889
```